Theoretical powder X-ray diffraction pattern of Zr6CoCl15 for λ = 1.5418 Å (Cu Kα), from a DFT-relaxed cell (GGA-PBE, OQMD).

Structural model:
a = 10.2769 Å, b = 10.2769 Å, c = 10.2769 Å
α = 90.00°, β = 90.00°, γ = 90.00°
Space group Im-3m (No. 229)
Asymmetric unit:
Zr 0.0000 0.0000 0.2402 [12 per cell]
Co 0.0000 0.0000 0.0000 [2 per cell]
Cl 0.0000 0.0000 0.5000 [6 per cell]
Cl 0.0000 0.2483 0.2483 [24 per cell]

Most intense lines, 5 to 70 degrees two-theta, low angle first:
two_theta	intensity
12.18	100
17.26	18
21.18	20
27.44	18
32.60	21
34.92	90
37.12	15
44.98	20
50.22	58
62.63	19